(1)
Diffraction record for CePrNd4. The powder diffraction line list is simulated, not measured: it uses a DFT-relaxed cell (GGA-PBE, Alexandria) and a wavelength of 1.5418 Å.
Intensities are scaled so that the largest is 100.

Principal peaks in the range 2θ from 5° to 70°, sorted by position:
| hkl | Position (°2θ) | Rel. int. |
| --- | --- | --- |
| 1 0 1 | 20.7 | 32 |
| 1 1 2 | 31.7 | 100 |
| 0 0 4 | 33.1 | 22 |
| 2 0 0 | 38.5 | 30 |
| 2 0 4 | 51.7 | 25 |
| 3 1 2 | 65.5 | 26 |

Crystal structure
abc: 4.673 4.673 10.817
angles: 90.00 90.00 90.00
Space group P4/mmm (No. 123)
Unique sites:
Ce  0.000  0.000  0.000 x1
Pr  0.500  0.500  0.500 x1
Nd  0.000  0.500  0.241 x4



(2)
Diffraction record for CePr7Nd12. The powder diffraction line list is simulated, not measured: it uses a DFT-relaxed cell (GGA-PBE, Alexandria) and a wavelength of 1.5418 Å.
Intensities are scaled so that the largest is 100.

Principal peaks in the range 2θ from 5° to 70°, sorted by position:
| hkl | Position (°2θ) | Rel. int. |
| --- | --- | --- |
| 1 1 3 | 28.3 | 42 |
| 4 -1 2 | 29.6 | 27 |
| 1 4 0 | 30.7 | 100 |
| 0 3 3 | 32.8 | 43 |
| 2 2 3 | 34.9 | 33 |
| 1 4 6 | 62.5 | 19 |

Crystal structure
abc: 15.4252 15.4252 10.3687
angles: 90.00 90.00 120.00
Space group R-3 (No. 148, hexagonal axes)
Unique sites:
Ce  0.0000  0.0000  0.0000 x3
Pr  0.0000  0.0000  0.5000 x3
Pr  0.0684  0.2461  0.9291 x18
Nd  0.0385  0.2483  0.5704 x18
Nd  0.0445  0.1945  0.2525 x18



(3)
Diffraction record for CePr2Nd8. The powder diffraction line list is simulated, not measured: it uses a DFT-relaxed cell (GGA-PBE, Alexandria) and a wavelength of 1.5418 Å.
Intensities are scaled so that the largest is 100.

Principal peaks in the range 2θ from 5° to 70°, sorted by position:
| hkl | Position (°2θ) | Rel. int. |
| --- | --- | --- |
| 1 1 4 | 29.0 | 27 |
| 2 0 0 | 31.0 | 36 |
| 1 2 3 | 31.3 | 100 |
| 1 0 5 | 31.7 | 18 |
| 3 2 3 | 55.4 | 22 |
| 1 5 4 | 62.5 | 12 |

Crystal structure
abc: 5.761 8.313 16.215
angles: 90.00 90.00 90.00
Space group Immm (No. 71)
Unique sites:
Ce  0.000  0.000  0.000 x2
Pr  0.000  0.000  0.300 x4
Nd  0.000  0.212  0.500 x4
Nd  0.000  0.290  0.133 x8
Nd  0.000  0.500  0.340 x4